For Zr2CoMo3, a DFT-relaxed cell (PBE, the Materials Project) gives the computed powder XRD pattern in this record (Cu Kα, 1.54184 Å).
Intensities are scaled so that the largest is 100.

Cell and atoms:
a = 5.3531 Å, b = 5.3531 Å, c = 5.3531 Å
α = 58.44°, β = 58.44°, γ = 58.44°
Fractional positions:
1 Zr 0.1266 0.1266 0.1266
2 Zr 0.8734 0.8734 0.8734
3 Co 0.5000 0.5000 0.5000
4 Mo 0.0000 0.5000 0.5000
5 Mo 0.5000 0.0000 0.5000
6 Mo 0.5000 0.5000 0.0000

Main lines, by angle (5° ≤ 2θ ≤ 70°):
- 2θ 33.5, d 2.675, intensity 46.6
- 2θ 39.4, d 2.289, intensity 48.9
- 2θ 40.1, d 2.250, intensity 100.0
- 2θ 40.4, d 2.231, intensity 73.0
- 2θ 40.8, d 2.211, intensity 24.4
- 2θ 42.2, d 2.142, intensity 60.9

---

For La3Ti4O12, a DFT-relaxed cell (PBE, the Materials Project) gives the computed powder XRD pattern in this record (Cu Kα, 1.54184 Å).
Intensities are scaled so that the largest is 100.

Cell and atoms:
a = 7.8363 Å, b = 5.5520 Å, c = 5.5520 Å
α = 89.31°, β = 90.00°, γ = 90.00°
Fractional positions:
1 La 0.0000 0.0000 0.0000
2 La 0.0000 0.4929 0.4929
3 La 0.5000 0.9990 0.9990
4 Ti 0.2571 0.4944 0.9938
5 Ti 0.2571 0.9938 0.4944
6 Ti 0.7429 0.4944 0.9938
7 Ti 0.7429 0.9938 0.4944
8 O 0.0000 0.0416 0.4523
9 O 0.0000 0.4523 0.0416
10 O 0.1992 0.7420 0.7420
11 O 0.2360 0.2344 0.7491
12 O 0.2360 0.7491 0.2344
13 O 0.2794 0.2247 0.2247
14 O 0.5000 0.5374 0.9653
15 O 0.5000 0.9653 0.5374
16 O 0.7206 0.2247 0.2247
17 O 0.7640 0.2344 0.7491
18 O 0.7640 0.7491 0.2344
19 O 0.8008 0.7420 0.7420

Main lines, by angle (5° ≤ 2θ ≤ 70°):
- 2θ 16.0, d 5.552, intensity 21.1
- 2θ 19.6, d 4.530, intensity 24.0
- 2θ 32.2, d 2.779, intensity 100.0
- 2θ 32.4, d 2.765, intensity 54.0
- 2θ 39.8, d 2.265, intensity 32.1
- 2θ 57.6, d 1.601, intensity 21.1

---

For Zr2N2O, a DFT-relaxed cell (PBE, the Materials Project) gives the computed powder XRD pattern in this record (Cu Kα, 1.54184 Å).
Intensities are scaled so that the largest is 100.

Cell and atoms:
a = 8.8590 Å, b = 8.8809 Å, c = 8.8824 Å
α = 109.39°, β = 109.55°, γ = 109.39°
Fractional positions:
1 Zr 0.0000 0.0000 0.0000
2 Zr 0.0006 0.4985 0.5064
3 Zr 0.0359 0.2121 0.7482
4 Zr 0.2152 0.6763 0.9536
5 Zr 0.2486 0.9691 0.7231
6 Zr 0.2541 0.4541 0.2022
7 Zr 0.2864 0.2484 0.4636
8 Zr 0.4685 0.7101 0.6785
9 Zr 0.4876 0.4172 0.9147
10 Zr 0.5097 0.9263 0.4236
11 Zr 0.5289 0.2107 0.2401
12 Zr 0.7159 0.1688 0.9589
13 Zr 0.7473 0.9588 0.2102
14 Zr 0.7578 0.4740 0.7106
15 Zr 0.7846 0.7521 0.4697
16 Zr 0.9688 0.7204 0.1729
17 N 0.0106 0.9459 0.7451
18 N 0.0213 0.9930 0.2585
19 N 0.2396 0.1859 0.6657
20 N 0.2595 0.7314 0.7493
21 N 0.2869 0.2270 0.2059
22 N 0.3027 0.4784 0.9899
23 N 0.4775 0.9310 0.1695
24 N 0.4820 0.1986 0.9836
25 N 0.5201 0.5046 0.7180
26 N 0.5203 0.6923 0.4511
27 N 0.7113 0.9197 0.9393
28 N 0.7398 0.4933 0.4698
29 N 0.7831 0.0057 0.4806
30 N 0.9747 0.4141 0.6960
31 N 0.9778 0.2411 0.9768
32 N 0.9875 0.7308 0.9394
33 O 0.0232 0.7246 0.4352
34 O 0.1972 0.4444 0.4335
35 O 0.2125 0.7001 0.2257
36 O 0.4921 0.9811 0.6762
37 O 0.5117 0.1877 0.4897
38 O 0.7099 0.6898 0.1764
39 O 0.7604 0.4313 0.9521
40 O 0.8030 0.2340 0.2469

Main lines, by angle (5° ≤ 2θ ≤ 70°):
- 2θ 21.2, d 4.186, intensity 12.7
- 2θ 30.2, d 2.959, intensity 100.0
- 2θ 35.0, d 2.565, intensity 18.4
- 2θ 50.3, d 1.815, intensity 11.9
- 2θ 50.4, d 1.811, intensity 25.3
- 2θ 59.9, d 1.545, intensity 11.0